No. 1
# Dy4Hg2H
Calculated PXRD pattern, Cu Kα (λ = 1.5418 Å). Input: a cell relaxed with PBE.
Lines closer than 0.1° are merged.

Atomic structure:
abc: 6.836 6.763 7.832
angles: 90.00 105.89 90.00
Space group P2_1/m (No. 11)
Symmetry-distinct sites (fractional):
Dy (0.035, 0.005, 0.268)
Dy (0.377, 0.750, 0.078)
Dy (0.413, 0.750, 0.616)
Hg (0.234, 0.250, 0.031)
Hg (0.264, 0.250, 0.596)
H (0.202, 0.750, 0.792)

The 12 most intense peaks (2θ from 15° to 90°), in order of rising 2θ:
2θ = 18.8°, I = 35.3, (1 1 0); 2θ = 26.4°, I = 33.1, (0 2 0); 2θ = 29.7°, I = 92.8, (1 2 0); 2θ = 30.4°, I = 87.8, (1 0 2); 2θ = 30.8°, I = 95.7, (2 0 -2); 2θ = 33.2°, I = 35.9, (1 1 2); 2θ = 33.6°, I = 46.8, (2 1 -2); 2θ = 35.7°, I = 100.0, (0 2 2); 2θ = 35.8°, I = 86.2, (1 2 -2); 2θ = 38.2°, I = 58.5, (2 2 0); 2θ = 43.4°, I = 50.6, (3 1 0); 2θ = 46.4°, I = 36.7, (1 0 -4)

---

No. 2
# DyH2I2
Calculated PXRD pattern, Cu Kα (λ = 1.5418 Å). Input: a cell relaxed with PBE.
Lines closer than 0.1° are merged.

Atomic structure:
abc: 8.304 10.599 8.301
angles: 90.00 104.48 90.00
Space group C2/m (No. 12)
Symmetry-distinct sites (fractional):
Dy (0.000, 0.174, 0.000)
H (0.057, 0.000, 0.909)
H (0.103, 0.000, 0.091)
I (0.184, 0.252, 0.742)

The 12 most intense peaks (2θ from 15° to 90°), in order of rising 2θ:
2θ = 16.7°, I = 100.0, (0 2 0); 2θ = 27.2°, I = 67.0, (2 0 1); 2θ = 27.9°, I = 19.9, (0 2 2); 2θ = 32.1°, I = 55.6, (2 2 1); 2θ = 33.8°, I = 13.9, (0 4 0); 2θ = 35.3°, I = 26.6, (2 0 -3); 2θ = 39.3°, I = 24.0, (2 2 -3); 2θ = 40.8°, I = 34.9, (0 4 2); 2θ = 45.1°, I = 14.3, (0 0 4); 2θ = 47.0°, I = 14.1, (4 2 -1); 2θ = 48.4°, I = 16.8, (0 2 4); 2θ = 56.9°, I = 25.6, (0 6 2)

---

No. 3
# Dy3HI7
Calculated PXRD pattern, Cu Kα (λ = 1.5418 Å). Input: a cell relaxed with PBE.
Lines closer than 0.1° are merged.

Atomic structure:
abc: 8.3477 8.3477 7.6604
angles: 90.00 90.00 120.00
Space group P3m1 (No. 156)
Symmetry-distinct sites (fractional):
Dy (0.0195, 0.5097, 0.0000)
H (0.3333, 0.6667, 0.0698)
I (0.1647, 0.3293, 0.7554)
I (0.3299, 0.1650, 0.2313)
I (0.6667, 0.3333, 0.7672)

The 12 most intense peaks (2θ from 15° to 90°), in order of rising 2θ:
2θ = 16.9°, I = 16.2, (0 1 1); 2θ = 26.3°, I = 10.8, (1 0 2); 2θ = 27.3°, I = 100.0, (2 0 1); 2θ = 34.1°, I = 61.1, (2 0 2); 2θ = 43.4°, I = 65.0, (2 2 0); 2θ = 52.0°, I = 16.1, (0 4 1); 2θ = 56.3°, I = 13.8, (0 4 2); 2θ = 63.0°, I = 10.2, (4 0 3); 2θ = 66.2°, I = 23.0, (2 2 4); 2θ = 69.9°, I = 12.9, (4 2 1); 2θ = 73.6°, I = 11.8, (4 2 2); 2θ = 79.6°, I = 20.9, (6 0 0)